No. 1
The following is a simulated X-ray powder pattern of K2ZnAgF6. It was derived from a structure optimized by DFT (PBE), using Cu Kα.
No peak broadening, texture or thermal motion is included.

Structural model:
```
data_K2ZnAgF6
_space_group_name_H-M_alt 'P 1 21/c 1'
_space_group_IT_number 14
_space_group_name_Hall '-P 2ybc'
_cell_length_a 5.8407
_cell_length_b 5.8420
_cell_length_c 10.1219
_cell_angle_alpha 90.00
_cell_angle_beta 125.16
_cell_angle_gamma 90.00
loop_
_atom_site_label
_atom_site_fract_x
_atom_site_fract_y
_atom_site_fract_z
_atom_site_occupancy
K1 0.2471 0.0202 0.2496 1
Zn1 0.0000 0.0000 0.5000 1
Ag1 0.5000 0.0000 0.0000 1
F1 0.1797 0.2305 0.9760 1
F2 0.2437 0.7050 0.9754 1
F3 0.2841 0.0039 0.7367 1
```

The 6 most intense peaks (15° ≤ 2θ ≤ 90°), most intense first:
Position (°2θ)  Rel. int.  hkl
30.59  100  0 2 0
43.81  45  0 0 4
21.50  45  0 0 2
54.36  33  2 0 2
63.68  20  2 2 -6
49.29  13  1 3 -1

No. 2
The following is a simulated X-ray powder pattern of Na2AgF4. It was derived from a structure optimized by DFT (PBE), using Cu Kα.
No peak broadening, texture or thermal motion is included.

Structural model:
```
data_Na2AgF4
_space_group_name_H-M_alt 'P 1 21/c 1'
_space_group_IT_number 14
_space_group_name_Hall '-P 2ybc'
_cell_length_a 3.2374
_cell_length_b 10.0717
_cell_length_c 5.9362
_cell_angle_alpha 90.00
_cell_angle_beta 112.86
_cell_angle_gamma 90.00
loop_
_atom_site_label
_atom_site_fract_x
_atom_site_fract_y
_atom_site_fract_z
_atom_site_occupancy
Na1 0.2376 0.1507 0.4644 1
Ag1 0.5000 0.0000 0.0000 1
F1 0.0867 0.5631 0.7953 1
F2 0.4585 0.6779 0.3098 1
```

The 6 most intense peaks (15° ≤ 2θ ≤ 90°), most intense first:
Position (°2θ)  Rel. int.  hkl
18.46  100  0 1 1
17.61  88  0 2 0
31.26  85  0 3 1
39.32  62  1 2 -2
29.36  60  1 1 -1
40.68  45  1 1 1

No. 3
The following is a simulated X-ray powder pattern of NbAgO2F. It was derived from a structure optimized by DFT (PBE), using Cu Kα.
No peak broadening, texture or thermal motion is included.

Structural model:
```
data_NbAgO2F
_space_group_name_H-M_alt 'P n m a'
_space_group_IT_number 62
_space_group_name_Hall '-P 2ac 2n'
_cell_length_a 5.5839
_cell_length_b 8.1859
_cell_length_c 5.5471
_cell_angle_alpha 90.00
_cell_angle_beta 90.00
_cell_angle_gamma 90.00
loop_
_atom_site_label
_atom_site_fract_x
_atom_site_fract_y
_atom_site_fract_z
_atom_site_occupancy
Nb1 0.0000 0.0000 0.0000 1
Ag1 0.0246 0.2500 0.4516 1
O1 0.2188 0.5314 0.7167 1
F1 0.0146 0.2500 0.8991 1
```

The 6 most intense peaks (15° ≤ 2θ ≤ 90°), most intense first:
Position (°2θ)  Rel. int.  hkl
31.54  100  1 2 1
32.06  26  2 0 0
46.13  23  2 0 2
32.28  18  0 0 2
44.26  17  0 4 0
56.82  17  3 2 1

No. 4
The following is a simulated X-ray powder pattern of NpAgF6. It was derived from a structure optimized by DFT (PBE), using Cu Kα.
No peak broadening, texture or thermal motion is included.

Structural model:
```
data_NpAgF6
_space_group_name_H-M_alt 'F m -3 m'
_space_group_IT_number 225
_space_group_name_Hall '-F 4 2 3'
_cell_length_a 8.6642
_cell_length_b 8.6642
_cell_length_c 8.6642
_cell_angle_alpha 90.00
_cell_angle_beta 90.00
_cell_angle_gamma 90.00
loop_
_atom_site_label
_atom_site_fract_x
_atom_site_fract_y
_atom_site_fract_z
_atom_site_occupancy
Np1 0.0000 0.0000 0.0000 1
Ag1 0.0000 0.0000 0.5000 1
F1 0.0000 0.0000 0.2389 1
```

The 6 most intense peaks (15° ≤ 2θ ≤ 90°), most intense first:
Position (°2θ)  Rel. int.  hkl
20.50  100  2 0 0
29.15  52  2 2 0
46.90  45  4 2 0
41.70  23  4 0 0
51.69  22  4 2 2
64.53  21  6 0 0

No. 5
The following is a simulated X-ray powder pattern of AgO2F. It was derived from a structure optimized by DFT (PBE), using Cu Kα.
No peak broadening, texture or thermal motion is included.

Structural model:
```
data_AgO2F
_space_group_name_H-M_alt 'P 1 21 1'
_space_group_IT_number 4
_space_group_name_Hall 'P 2yb'
_cell_length_a 3.9424
_cell_length_b 3.9520
_cell_length_c 6.5395
_cell_angle_alpha 90.00
_cell_angle_beta 100.74
_cell_angle_gamma 90.00
loop_
_atom_site_label
_atom_site_fract_x
_atom_site_fract_y
_atom_site_fract_z
_atom_site_occupancy
Ag1 0.2330 0.0000 0.2994 1
O1 0.2154 0.6969 0.8930 1
O2 0.2716 0.6136 0.0875 1
F1 0.2549 0.4282 0.5040 1
```

The 6 most intense peaks (15° ≤ 2θ ≤ 90°), most intense first:
Position (°2θ)  Rel. int.  hkl
26.48  100  0 1 1
24.53  58  1 0 -1
29.05  41  1 0 1
40.09  36  1 1 -2
32.36  33  1 1 0
46.06  28  1 1 2

No. 6
The following is a simulated X-ray powder pattern of Ag2PO3F. It was derived from a structure optimized by DFT (PBE), using Cu Kα.
No peak broadening, texture or thermal motion is included.

Structural model:
```
data_Ag2PO3F
_space_group_name_H-M_alt 'C 1 2/c 1'
_space_group_IT_number 15
_space_group_name_Hall '-C 2yc'
_cell_length_a 9.1963
_cell_length_b 5.5368
_cell_length_c 14.7158
_cell_angle_alpha 90.00
_cell_angle_beta 90.71
_cell_angle_gamma 90.00
loop_
_atom_site_label
_atom_site_fract_x
_atom_site_fract_y
_atom_site_fract_z
_atom_site_occupancy
Ag1 0.0000 0.0000 0.0000 1
Ag2 0.0000 0.0225 0.2500 1
Ag3 0.1481 0.4590 0.8320 1
P1 0.1872 0.4556 0.6180 1
O1 0.0726 0.2583 0.6298 1
O2 0.1578 0.1410 0.3904 1
O3 0.1724 0.3331 0.1843 1
F1 0.1500 0.4286 0.0204 1
```

The 6 most intense peaks (15° ≤ 2θ ≤ 90°), most intense first:
Position (°2θ)  Rel. int.  hkl
30.88  100  2 0 -4
33.41  70  3 1 0
32.34  28  0 2 0
45.36  26  2 2 -4
53.30  12  1 1 -8
58.24  11  5 1 -4

No. 7
The following is a simulated X-ray powder pattern of Ag3SeO3F3. It was derived from a structure optimized by DFT (PBE), using Cu Kα.
No peak broadening, texture or thermal motion is included.

Structural model:
```
data_Ag3SeO3F3
_space_group_name_H-M_alt 'R 3'
_space_group_IT_number 146
_space_group_name_Hall 'R 3'
_cell_length_a 5.7587
_cell_length_b 5.7587
_cell_length_c 13.6834
_cell_angle_alpha 90.00
_cell_angle_beta 90.00
_cell_angle_gamma 120.00
loop_
_atom_site_label
_atom_site_fract_x
_atom_site_fract_y
_atom_site_fract_z
_atom_site_occupancy
Ag1 0.0000 0.0000 0.0000 1
Ag2 0.0000 0.0000 0.2238 1
Ag3 0.0000 0.0000 0.4784 1
Se1 0.0000 0.0000 0.7505 1
O1 0.0397 0.2904 0.8031 1
F1 0.0895 0.7096 0.3096 1
```

The 6 most intense peaks (15° ≤ 2θ ≤ 90°), most intense first:
Position (°2θ)  Rel. int.  hkl
31.06  100  1 1 0
31.72  96  1 0 4
44.99  49  0 2 4
55.67  41  3 -1 4
55.26  28  3 0 0
73.91  15  4 -3 4

No. 8
The following is a simulated X-ray powder pattern of ZrAg2Se2O6F2. It was derived from a structure optimized by DFT (PBE), using Cu Kα.
No peak broadening, texture or thermal motion is included.

Structural model:
```
data_ZrAg2Se2O6F2
_space_group_name_H-M_alt 'C m c e'
_space_group_IT_number 64
_space_group_name_Hall '-C 2ac 2'
_cell_length_a 7.4135
_cell_length_b 31.0758
_cell_length_c 6.1596
_cell_angle_alpha 90.00
_cell_angle_beta 90.00
_cell_angle_gamma 90.00
loop_
_atom_site_label
_atom_site_fract_x
_atom_site_fract_y
_atom_site_fract_z
_atom_site_occupancy
Zr1 0.2500 0.1202 0.2500 1
Ag1 0.2289 0.0000 0.0000 1
Ag2 0.2500 0.2317 0.2500 1
Se1 0.0000 0.0767 0.6784 1
Se2 0.0000 0.1831 0.8524 1
O1 0.0000 0.0235 0.7458 1
O2 0.0000 0.2374 0.9134 1
O3 0.1851 0.1683 0.0086 1
O4 0.1857 0.0753 0.5015 1
F1 0.0000 0.0920 0.1262 1
F2 0.0000 0.1482 0.3846 1
```

The 6 most intense peaks (15° ≤ 2θ ≤ 90°), most intense first:
Position (°2θ)  Rel. int.  hkl
28.69  100  2 2 1
33.41  88  2 8 0
32.27  66  0 10 1
38.44  62  2 2 2
49.16  41  4 0 0
33.86  38  0 6 2